No. 1
Simulated X-ray diffraction stick pattern of TlNi15 for Cu Kα (λ = 1.5418 Å), from a crystal structure in OQMD, relaxed with GGA-PBE.
No peak broadening, texture or thermal motion is included.

Crystal structure
abc: 4.973 3.452 29.273
angles: 90.00 90.01 90.00
Element x y z (fractional)
Tl: 0.000 0.000 0.000
Tl: 0.250 0.500 0.685
Ni: 0.000 0.000 0.108
Ni: 0.000 0.000 0.279
Ni: 0.000 0.000 0.364
Ni: 0.000 0.000 0.449
Ni: 0.001 0.000 0.534
Ni: 0.250 0.500 0.152
Ni: 0.250 0.500 0.237
Ni: 0.250 0.500 0.322
Ni: 0.250 0.500 0.406
Ni: 0.250 0.500 0.491
Ni: 0.250 0.500 0.577
Ni: 0.251 0.500 0.067
Ni: 0.499 0.000 0.534
Ni: 0.500 0.000 0.027
Ni: 0.500 0.000 0.111
Ni: 0.500 0.000 0.195
Ni: 0.500 0.000 0.280
Ni: 0.500 0.000 0.364
Ni: 0.500 0.000 0.449
Ni: 0.501 0.000 0.619
Ni: 0.749 0.500 0.067
Ni: 0.750 0.500 0.152
Ni: 0.750 0.500 0.237
Ni: 0.750 0.500 0.322
Ni: 0.750 0.500 0.406
Ni: 0.750 0.500 0.491
Ni: 0.750 0.500 0.575
Ni: 0.750 0.500 0.658
Ni: 0.999 0.000 0.194
Ni: 0.999 0.000 0.619

Most intense lines, 2θ from 10° to 90°, low angle first:
2theta	intensity
42.9	53.4
44.9	100.0
45.5	46.4
50.2	35.9
52.6	29.3
53.1	34.4



No. 2
Simulated X-ray diffraction stick pattern of Tm2Tl8Ni for Cu Kα (λ = 1.5418 Å), from a crystal structure in OQMD, relaxed with GGA-PBE.
No peak broadening, texture or thermal motion is included.

Crystal structure
abc: 4.757 4.757 12.502
angles: 90.00 90.00 90.00
Element x y z (fractional)
Tm: 0.000 0.000 0.194
Tm: 0.000 0.000 0.806
Tl: 0.000 0.500 0.000
Tl: 0.000 0.500 0.377
Tl: 0.000 0.500 0.623
Tl: 0.500 0.000 0.000
Tl: 0.500 0.000 0.377
Tl: 0.500 0.000 0.623
Tl: 0.500 0.500 0.187
Tl: 0.500 0.500 0.813
Ni: 0.000 0.000 0.500

Most intense lines, 2θ from 10° to 90°, low angle first:
2theta	intensity
30.2	39.4
34.3	100.0
35.9	20.9
37.8	54.6
53.1	27.8
66.0	30.4



No. 3
Simulated X-ray diffraction stick pattern of Ni3W10 for Cu Kα (λ = 1.5418 Å), from a crystal structure in OQMD, relaxed with GGA-PBE.
No peak broadening, texture or thermal motion is included.

Crystal structure
abc: 9.391 9.391 9.391
angles: 31.82 31.82 31.82
Element x y z (fractional)
Ni: 0.000 0.000 0.000
Ni: 0.350 0.350 0.350
Ni: 0.650 0.650 0.650
W: 0.095 0.095 0.590
W: 0.095 0.590 0.095
W: 0.167 0.167 0.167
W: 0.410 0.905 0.905
W: 0.453 0.453 0.453
W: 0.547 0.547 0.547
W: 0.590 0.095 0.095
W: 0.833 0.833 0.833
W: 0.905 0.410 0.905
W: 0.905 0.905 0.410

Most intense lines, 2θ from 10° to 90°, low angle first:
2theta	intensity
39.3	61.3
40.5	100.0
40.6	74.8
42.4	61.9
44.0	83.0
73.6	57.5



No. 4
Simulated X-ray diffraction stick pattern of Ni7W5 for Cu Kα (λ = 1.5418 Å), from a crystal structure in OQMD, relaxed with GGA-PBE.
No peak broadening, texture or thermal motion is included.

Crystal structure
abc: 4.958 4.958 15.479
angles: 90.00 90.00 120.00
Element x y z (fractional)
Ni: 0.000 0.000 0.092
Ni: 0.000 0.000 0.408
Ni: 0.000 0.000 0.592
Ni: 0.000 0.000 0.908
Ni: 0.000 0.500 0.000
Ni: 0.000 0.500 0.500
Ni: 0.333 0.667 0.117
Ni: 0.333 0.667 0.383
Ni: 0.500 0.000 0.000
Ni: 0.500 0.000 0.500
Ni: 0.500 0.500 0.000
Ni: 0.500 0.500 0.500
Ni: 0.667 0.333 0.617
Ni: 0.667 0.333 0.883
W: 0.165 0.329 0.250
W: 0.165 0.835 0.250
W: 0.329 0.165 0.750
W: 0.333 0.667 0.647
W: 0.333 0.667 0.853
W: 0.667 0.333 0.147
W: 0.667 0.333 0.353
W: 0.671 0.835 0.250
W: 0.835 0.165 0.750
W: 0.835 0.671 0.750

Most intense lines, 2θ from 10° to 90°, low angle first:
2theta	intensity
11.4	98.9
35.8	47.7
42.5	75.0
43.3	100.0
43.8	52.0
70.1	44.4



No. 5
Simulated X-ray diffraction stick pattern of Ni2W13 for Cu Kα (λ = 1.5418 Å), from a crystal structure in OQMD, relaxed with GGA-PBE.
No peak broadening, texture or thermal motion is included.

Crystal structure
abc: 9.677 9.677 5.141
angles: 90.00 90.00 90.00
Element x y z (fractional)
Ni: 0.096 0.096 0.000
Ni: 0.404 0.596 0.500
Ni: 0.596 0.404 0.500
Ni: 0.904 0.904 0.000
W: 0.000 0.000 0.500
W: 0.037 0.366 0.000
W: 0.065 0.262 0.500
W: 0.134 0.537 0.500
W: 0.185 0.815 0.249
W: 0.185 0.815 0.751
W: 0.238 0.565 0.000
W: 0.262 0.065 0.500
W: 0.315 0.315 0.251
W: 0.315 0.315 0.749
W: 0.366 0.037 0.000
W: 0.435 0.762 0.000
W: 0.463 0.866 0.500
W: 0.500 0.500 0.000
W: 0.537 0.134 0.500
W: 0.565 0.238 0.000
W: 0.634 0.963 0.000
W: 0.685 0.685 0.251
W: 0.685 0.685 0.749
W: 0.738 0.935 0.500
W: 0.762 0.435 0.000
W: 0.815 0.185 0.249
W: 0.815 0.185 0.751
W: 0.866 0.463 0.500
W: 0.935 0.738 0.500
W: 0.963 0.634 0.000

Most intense lines, 2θ from 10° to 90°, low angle first:
2theta	intensity
38.4	100.0
39.5	45.1
39.7	39.5
40.8	64.0
42.3	94.0
43.4	43.1



No. 6
Simulated X-ray diffraction stick pattern of Ni7W5 for Cu Kα (λ = 1.5418 Å), from a crystal structure in OQMD, relaxed with GGA-PBE.
No peak broadening, texture or thermal motion is included.

Crystal structure
abc: 4.977 4.977 15.365
angles: 90.00 90.00 120.00
Element x y z (fractional)
Ni: 0.158 0.316 0.250
Ni: 0.158 0.842 0.250
Ni: 0.316 0.158 0.750
Ni: 0.333 0.667 0.134
Ni: 0.333 0.667 0.366
Ni: 0.333 0.667 0.656
Ni: 0.333 0.667 0.844
Ni: 0.667 0.333 0.156
Ni: 0.667 0.333 0.344
Ni: 0.667 0.333 0.634
Ni: 0.667 0.333 0.866
Ni: 0.684 0.842 0.250
Ni: 0.842 0.158 0.750
Ni: 0.842 0.684 0.750
W: 0.000 0.000 0.102
W: 0.000 0.000 0.398
W: 0.000 0.000 0.602
W: 0.000 0.000 0.898
W: 0.000 0.500 0.000
W: 0.000 0.500 0.500
W: 0.500 0.000 0.000
W: 0.500 0.000 0.500
W: 0.500 0.500 0.000
W: 0.500 0.500 0.500

Most intense lines, 2θ from 10° to 90°, low angle first:
2theta	intensity
11.5	97.4
31.2	45.4
41.0	67.1
41.9	43.3
43.3	100.0
43.6	99.9



No. 7
Simulated X-ray diffraction stick pattern of Ni2W3 for Cu Kα (λ = 1.5418 Å), from a crystal structure in OQMD, relaxed with GGA-PBE.
No peak broadening, texture or thermal motion is included.

Crystal structure
abc: 9.288 9.288 5.096
angles: 90.00 90.00 90.00
Element x y z (fractional)
Ni: 0.035 0.367 0.000
Ni: 0.102 0.102 0.000
Ni: 0.133 0.535 0.500
Ni: 0.367 0.035 0.000
Ni: 0.398 0.602 0.500
Ni: 0.465 0.867 0.500
Ni: 0.535 0.133 0.500
Ni: 0.602 0.398 0.500
Ni: 0.633 0.965 0.000
Ni: 0.867 0.465 0.500
Ni: 0.898 0.898 0.000
Ni: 0.965 0.633 0.000
W: 0.000 0.000 0.500
W: 0.058 0.273 0.500
W: 0.189 0.811 0.249
W: 0.189 0.811 0.751
W: 0.227 0.558 0.000
W: 0.273 0.058 0.500
W: 0.311 0.311 0.251
W: 0.311 0.311 0.749
W: 0.442 0.773 0.000
W: 0.500 0.500 0.000
W: 0.558 0.227 0.000
W: 0.689 0.689 0.251
W: 0.689 0.689 0.749
W: 0.727 0.942 0.500
W: 0.773 0.442 0.000
W: 0.811 0.189 0.249
W: 0.811 0.189 0.751
W: 0.942 0.727 0.500

Most intense lines, 2θ from 10° to 90°, low angle first:
2theta	intensity
19.9	40.3
40.0	100.0
40.4	38.6
41.6	69.5
43.9	54.7
45.1	55.6



No. 8
Simulated X-ray diffraction stick pattern of Ni28W for Cu Kα (λ = 1.5418 Å), from a crystal structure in OQMD, relaxed with GGA-PBE.
No peak broadening, texture or thermal motion is included.

Crystal structure
abc: 7.447 7.447 7.447
angles: 109.47 109.47 109.47
Element x y z (fractional)
Ni: 0.000 0.000 0.652
Ni: 0.000 0.190 0.378
Ni: 0.000 0.378 0.190
Ni: 0.000 0.410 0.687
Ni: 0.000 0.652 0.000
Ni: 0.000 0.687 0.410
Ni: 0.188 0.810 0.810
Ni: 0.190 0.000 0.378
Ni: 0.190 0.378 0.000
Ni: 0.277 0.590 0.590
Ni: 0.313 0.313 0.723
Ni: 0.313 0.723 0.313
Ni: 0.348 0.348 0.348
Ni: 0.378 0.000 0.190
Ni: 0.378 0.190 0.000
Ni: 0.410 0.000 0.687
Ni: 0.410 0.687 0.000
Ni: 0.590 0.277 0.590
Ni: 0.590 0.590 0.277
Ni: 0.622 0.622 0.812
Ni: 0.622 0.812 0.622
Ni: 0.652 0.000 0.000
Ni: 0.687 0.000 0.410
Ni: 0.687 0.410 0.000
Ni: 0.723 0.313 0.313
Ni: 0.810 0.188 0.810
Ni: 0.810 0.810 0.188
Ni: 0.812 0.622 0.622
W: 0.000 0.000 0.000

Most intense lines, 2θ from 10° to 90°, low angle first:
2theta	intensity
39.2	10.5
44.7	100.0
49.7	25.4
52.1	12.6
78.7	12.1
82.4	21.1



No. 9
Simulated X-ray diffraction stick pattern of Ni5W24 for Cu Kα (λ = 1.5418 Å), from a crystal structure in OQMD, relaxed with GGA-PBE.
No peak broadening, texture or thermal motion is included.

Crystal structure
abc: 8.482 8.482 8.482
angles: 109.47 109.47 109.47
Element x y z (fractional)
Ni: 0.000 0.000 0.000
Ni: 0.000 0.000 0.657
Ni: 0.000 0.657 0.000
Ni: 0.343 0.343 0.343
Ni: 0.657 0.000 0.000
W: 0.000 0.196 0.381
W: 0.000 0.381 0.196
W: 0.000 0.407 0.689
W: 0.000 0.689 0.407
W: 0.186 0.804 0.804
W: 0.196 0.000 0.381
W: 0.196 0.381 0.000
W: 0.282 0.593 0.593
W: 0.311 0.311 0.718
W: 0.311 0.718 0.311
W: 0.381 0.000 0.196
W: 0.381 0.196 0.000
W: 0.407 0.000 0.689
W: 0.407 0.689 0.000
W: 0.593 0.282 0.593
W: 0.593 0.593 0.282
W: 0.619 0.619 0.814
W: 0.619 0.814 0.619
W: 0.689 0.000 0.407
W: 0.689 0.407 0.000
W: 0.718 0.311 0.311
W: 0.804 0.186 0.804
W: 0.804 0.804 0.186
W: 0.814 0.619 0.619

Most intense lines, 2θ from 10° to 90°, low angle first:
2theta	intensity
36.7	15.9
39.0	100.0
43.3	42.3
47.3	41.1
70.7	26.0
72.2	13.5



No. 10
Simulated X-ray diffraction stick pattern of Ni7W5 for Cu Kα (λ = 1.5418 Å), from a crystal structure in OQMD, relaxed with GGA-PBE.
No peak broadening, texture or thermal motion is included.

Crystal structure
abc: 5.049 5.049 15.691
angles: 90.00 90.00 120.00
Element x y z (fractional)
Ni: 0.000 0.000 0.085
Ni: 0.000 0.000 0.415
Ni: 0.000 0.000 0.585
Ni: 0.000 0.000 0.915
Ni: 0.151 0.302 0.250
Ni: 0.151 0.849 0.250
Ni: 0.302 0.151 0.750
Ni: 0.333 0.667 0.649
Ni: 0.333 0.667 0.851
Ni: 0.667 0.333 0.149
Ni: 0.667 0.333 0.351
Ni: 0.698 0.849 0.250
Ni: 0.849 0.151 0.750
Ni: 0.849 0.698 0.750
W: 0.000 0.500 0.000
W: 0.000 0.500 0.500
W: 0.333 0.667 0.139
W: 0.333 0.667 0.361
W: 0.500 0.000 0.000
W: 0.500 0.000 0.500
W: 0.500 0.500 0.000
W: 0.500 0.500 0.500
W: 0.667 0.333 0.639
W: 0.667 0.333 0.861

Most intense lines, 2θ from 10° to 90°, low angle first:
2theta	intensity
11.3	65.6
21.1	39.2
40.2	52.5
42.6	100.0
42.9	95.5
47.6	46.7